[1]
Theoretical powder X-ray diffraction pattern of Ti7Pd2O2 for Cu Ka, from the GGA-PBE geometry in Alexandria.
Lines closer than 0.1° are merged.

Peak list (6 most intense, 10° ≤ 2θ ≤ 90°, by intensity)
d [Å]  Rel. int.  index
2.329  100  2 2 1
2.775  76  0 2 1
1.948  70  2 2 -2
1.981  67  1 3 -1
2.343  60  4 0 0
3.335  58  2 0 1

Cell: 9.430 6.508 5.350 Å, 90.00 96.42 90.00°
Space group C2/m (No. 12)
Asymmetric unit:
Ti 0.000 0.000 0.000 [2 per cell]
Ti 0.064 0.500 0.789 [4 per cell]
Ti 0.210 0.285 0.229 [8 per cell]
Pd 0.000 0.192 0.500 [4 per cell]
O 0.224 0.000 0.038 [4 per cell]

[2]
Theoretical powder X-ray diffraction pattern of Al11Re4 for Cu Ka, from the GGA-PBE geometry in Alexandria.
Lines closer than 0.1° are merged.

Peak list (6 most intense, 10° ≤ 2θ ≤ 90°, by intensity)
d [Å]  Rel. int.  index
3.792  100  1 0 -2
3.899  93  1 -1 0
3.402  70  0 1 -2
2.148  62  2 1 -1
3.222  62  0 1 2
4.869  54  1 0 -1

Cell: 5.173 5.193 8.998 Å, 90.57 105.03 99.47°
Space group P-1 (No. 2)
Asymmetric unit:
Al 0.000 0.000 0.000 [1 per cell]
Al 0.096 0.497 0.872 [2 per cell]
Al 0.204 0.056 0.334 [2 per cell]
Al 0.258 0.800 0.637 [2 per cell]
Al 0.319 0.564 0.378 [2 per cell]
Al 0.464 0.145 0.872 [2 per cell]
Re 0.155 0.279 0.604 [2 per cell]
Re 0.389 0.338 0.132 [2 per cell]

[3]
Theoretical powder X-ray diffraction pattern of Ca2Au7 for Cu Ka, from the GGA-PBE geometry in Alexandria.
Lines closer than 0.1° are merged.

Peak list (6 most intense, 10° ≤ 2θ ≤ 90°, by intensity)
d [Å]  Rel. int.  index
2.413  100  1 1 9
4.832  75  1 0 1
2.210  54  2 0 8
2.357  38  0 0 18
2.110  36  0 2 10
1.206  28  2 2 18

Cell: 5.6157 5.6157 42.4254 Å, 90.00 90.00 120.00°
Space group R-3m (No. 166, hexagonal axes)
Asymmetric unit:
Ca 0.0000 0.0000 0.0497 [6 per cell]
Ca 0.0000 0.0000 0.1490 [6 per cell]
Au 0.0000 0.0000 0.2771 [6 per cell]
Au 0.0000 0.0000 0.3894 [6 per cell]
Au 0.0000 0.0000 0.5000 [3 per cell]
Au 0.0000 0.5000 0.0000 [9 per cell]
Au 0.0040 0.5020 0.8874 [18 per cell]